Simulated X-ray powder pattern
Compound: TiCu5Pd8
Radiation: copper Kα
Structure: a DFT-relaxed cell (GGA-PBE, Alexandria)

Crystal structure
a = 6.4790 Å, b = 6.4790 Å, c = 6.4790 Å
α = 110.61°, β = 110.61°, γ = 107.21°
Fractional coordinates of all 14 atoms:
Ti1 0.0000 0.0000 0.0000
Cu1 0.0406 0.4477 0.8232
Cu2 0.2500 0.7500 0.5000
Cu3 0.5523 0.3755 0.5930
Cu4 0.6245 0.2174 0.1768
Cu5 0.7826 0.9594 0.4070
Pd1 0.0891 0.3103 0.4091
Pd2 0.2692 0.1688 0.7626
Pd3 0.3200 0.9109 0.2212
Pd4 0.4062 0.5066 0.2374
Pd5 0.4934 0.7308 0.8996
Pd6 0.6897 0.0988 0.7788
Pd7 0.8312 0.5938 0.1004
Pd8 0.9012 0.6800 0.5909

Most intense lines, 10° ≤ 2θ ≤ 90°, in order of rising 2θ:
2theta	d/Å	intensity
29.47	3.031	35
37.14	2.421	70
38.44	2.342	70
38.60	2.332	85
41.86	2.158	23
44.78	2.024	100
45.49	1.994	54
45.91	1.977	51
61.15	1.516	19
64.30	1.449	19
74.17	1.278	19
86.70	1.123	17

***

Simulated X-ray powder pattern
Compound: Ti2CuPd6
Radiation: copper Kα
Structure: a DFT-relaxed cell (GGA-PBE, Alexandria)

Crystal structure
a = 8.1677 Å, b = 6.4409 Å, c = 5.8068 Å
α = 83.48°, β = 51.58°, γ = 44.94°
Fractional coordinates of all 9 atoms:
Ti1 0.1515 0.1515 0.8485
Ti2 0.8485 0.8485 0.1515
Cu1 0.5000 0.5000 0.5000
Pd1 0.1625 0.8375 0.1625
Pd2 0.1786 0.4802 0.5198
Pd3 0.4802 0.1786 0.8214
Pd4 0.5198 0.8214 0.1786
Pd5 0.8214 0.5198 0.4802
Pd6 0.8375 0.1625 0.8375

Most intense lines, 10° ≤ 2θ ≤ 90°, in order of rising 2θ:
2theta	d/Å	intensity
31.99	2.798	12
39.87	2.261	100
43.94	2.061	21
44.54	2.034	18
50.43	1.810	11
64.35	1.448	12
69.08	1.360	8
69.53	1.352	8
78.02	1.225	13
78.88	1.214	12
85.99	1.130	8
87.62	1.114	7

***

Simulated X-ray powder pattern
Compound: Ti3CuPd
Radiation: copper Kα
Structure: a DFT-relaxed cell (GGA-PBE, Alexandria)

Crystal structure
a = 7.2119 Å, b = 7.2119 Å, c = 6.4715 Å
α = 101.00°, β = 101.00°, γ = 96.37°
Fractional coordinates of all 20 atoms:
Ti1 0.0995 0.1662 0.0827
Ti2 0.1282 0.4848 0.8766
Ti3 0.1662 0.0995 0.5827
Ti4 0.2445 0.4750 0.3630
Ti5 0.4750 0.2445 0.8630
Ti6 0.4848 0.1282 0.3766
Ti7 0.5152 0.8718 0.6234
Ti8 0.5250 0.7555 0.1370
Ti9 0.7555 0.5250 0.6370
Ti10 0.8338 0.9005 0.4173
Ti11 0.8718 0.5152 0.1234
Ti12 0.9005 0.8338 0.9173
Cu1 0.0837 0.7066 0.5846
Cu2 0.2934 0.9163 0.9154
Cu3 0.7066 0.0837 0.0846
Cu4 0.9163 0.2934 0.4154
Pd1 0.1858 0.8142 0.2500
Pd2 0.4376 0.5624 0.7500
Pd3 0.5624 0.4376 0.2500
Pd4 0.8142 0.1858 0.7500

Most intense lines, 10° ≤ 2θ ≤ 90°, in order of rising 2θ:
2theta	d/Å	intensity
19.27	4.607	47
26.69	3.340	29
34.08	2.631	32
37.15	2.420	47
37.48	2.400	100
38.61	2.332	56
39.42	2.286	97
41.27	2.187	43
41.61	2.170	75
43.20	2.094	82
47.11	1.929	32
48.98	1.860	33

***

Simulated X-ray powder pattern
Compound: Ti4Cu3Pd4
Radiation: copper Kα
Structure: a DFT-relaxed cell (GGA-PBE, Alexandria)

Crystal structure
a = 2.7629 Å, b = 4.4364 Å, c = 13.5311 Å
α = 80.57°, β = 90.00°, γ = 90.00°
Fractional coordinates of all 11 atoms:
Ti1 0.0000 0.0000 0.0000
Ti2 0.0007 0.6206 0.7585
Ti3 0.5010 0.2670 0.4676
Ti4 0.5015 0.8941 0.2138
Cu1 0.0016 0.8023 0.3981
Cu2 0.0042 0.4464 0.1083
Cu3 0.5010 0.0871 0.8247
Pd1 0.0012 0.1739 0.6527
Pd2 0.0007 0.3536 0.2952
Pd3 0.5009 0.5323 0.9348
Pd4 0.5012 0.7143 0.5722

Most intense lines, 10° ≤ 2θ ≤ 90°, in order of rising 2θ:
2theta	d/Å	intensity
19.96	4.449	15
38.35	2.347	42
40.67	2.218	62
42.08	2.147	93
42.46	2.129	100
45.40	1.998	31
57.13	1.612	25
74.99	1.267	15
75.25	1.263	17
79.87	1.201	15
82.20	1.173	16
83.40	1.159	25